Computed X-ray powder pattern
Compound: RbCr2Ga
Radiation: Cu Kα, 1.54184 Å
Structure: a DFT-relaxed cell (GGA-PBE, Alexandria)
Lines closer than 0.1° are merged.

Largest 10 diffraction maxima, sorted by position, 10° ≤ 2θ ≤ 90°:
two_theta, d_spacing, I_rel
16.4, 5.405, 21.5
22.0, 4.035, 21.1
24.4, 3.645, 100.0
31.4, 2.848, 26.2
33.1, 2.703, 20.8
37.9, 2.372, 31.1
38.6, 2.331, 34.1
50.0, 1.823, 37.4
51.9, 1.763, 24.7
60.8, 1.524, 17.3

Cell and atoms:
Cell: 9.4745 9.4745 9.4745 Å, 145.02 145.02 50.31°
Fractional positions:
Rb1 0.3750 0.6250 0.7500
Rb2 0.6250 0.3750 0.2500
Cr1 0.0000 0.0000 0.0000
Cr2 0.0000 0.0000 0.5000
Cr3 0.0000 0.5000 0.0000
Cr4 0.5000 0.0000 0.5000
Ga1 0.1250 0.8750 0.2500
Ga2 0.8750 0.1250 0.7500